Starting from the GGA-PBE geometry in Alexandria, the powder diffractogram of CeDySe2 was simulated for Cu Kα (weighted mean of Kα1 and Kα2).
Intensities are scaled so that the largest is 100.

Crystal structure
```
data_CeDySe2
_space_group_name_H-M_alt 'P 1 2/c 1'
_space_group_IT_number 13
_cell_length_a 5.8572
_cell_length_b 5.8565
_cell_length_c 13.0993
_cell_angle_alpha 90.00
_cell_angle_beta 116.55
_cell_angle_gamma 90.00
loop_
_space_group_symop_operation_xyz
'x,y,z'
'-x,-y,-z'
'-x,y,-z+1/2'
'x,-y,z+1/2'
loop_
_atom_site_label
_atom_site_type_symbol
_atom_site_fract_x
_atom_site_fract_y
_atom_site_fract_z
Ce1 Ce 0.1245 0.2493 0.1249
Dy1 Dy 0.3747 0.2511 0.8751
Se1 Se 0.1295 0.2508 0.6292
Se2 Se 0.3795 0.2490 0.3791
```

The 11 most intense peaks (2θ = 10–90°), by angle:
two_theta  intensity  (hkl)
16.9  1  1 0 -2
26.4  18  1 1 1
30.5  100  0 2 0
43.7  74  2 2 -2
51.8  9  1 1 5
54.2  26  2 2 2
63.5  12  0 4 0
70.0  4  3 1 3
72.1  33  4 2 -4
80.3  25  4 2 0
86.3  3  1 1 9

---

Starting from the GGA-PBE geometry in Alexandria, the powder diffractogram of Rb2NpAs2S6 was simulated for Cu Kα (weighted mean of Kα1 and Kα2).
Intensities are scaled so that the largest is 100.

Crystal structure
```
data_Rb2NpAs2S6
_space_group_name_H-M_alt 'C 1 2/m 1'
_space_group_IT_number 12
_cell_length_a 15.0775
_cell_length_b 6.9754
_cell_length_c 7.1502
_cell_angle_alpha 90.00
_cell_angle_beta 113.83
_cell_angle_gamma 90.00
loop_
_space_group_symop_operation_xyz
'x,y,z'
'-x,-y,-z'
'-x,y,-z'
'x,-y,z'
'x+1/2,y+1/2,z'
'-x+1/2,-y+1/2,-z'
'-x+1/2,y+1/2,-z'
'x+1/2,-y+1/2,z'
loop_
_atom_site_label
_atom_site_type_symbol
_atom_site_fract_x
_atom_site_fract_y
_atom_site_fract_z
Rb1 Rb 0.2460 0.0000 0.2235
Np1 Np 0.0000 0.5000 0.0000
As1 As 0.0293 0.0000 0.3557
S1 S 0.0702 0.2402 0.8210
S2 S 0.1616 0.5000 0.2603
```

The 12 most intense peaks (2θ = 10–90°), by angle:
two_theta  intensity  (hkl)
12.8  54  2 0 0
13.5  34  0 0 1
17.8  27  1 1 -1
21.4  100  1 1 1
22.6  85  3 1 -1
25.5  39  0 2 0
25.8  32  4 0 0
29.3  49  3 1 -2
36.0  28  2 2 -2
36.6  32  4 2 0
42.4  31  5 1 1
43.2  21  3 3 -1

---

Starting from the GGA-PBE geometry in Alexandria, the powder diffractogram of Mn2Ga2Se5 was simulated for Cu Kα (weighted mean of Kα1 and Kα2).
Intensities are scaled so that the largest is 100.

Crystal structure
```
data_Mn2Ga2Se5
_space_group_name_H-M_alt 'C 1 2/m 1'
_space_group_IT_number 12
_cell_length_a 20.3508
_cell_length_b 3.8646
_cell_length_c 6.5976
_cell_angle_alpha 90.00
_cell_angle_beta 106.29
_cell_angle_gamma 90.00
loop_
_space_group_symop_operation_xyz
'x,y,z'
'-x,-y,-z'
'-x,y,-z'
'x,-y,z'
'x+1/2,y+1/2,z'
'-x+1/2,-y+1/2,-z'
'-x+1/2,y+1/2,-z'
'x+1/2,-y+1/2,z'
loop_
_atom_site_label
_atom_site_type_symbol
_atom_site_fract_x
_atom_site_fract_y
_atom_site_fract_z
Mn1 Mn 0.0707 0.0000 0.2846
Ga1 Ga 0.1196 0.5000 0.9033
Se1 Se 0.0000 0.5000 0.0000
Se2 Se 0.1080 0.5000 0.5374
Se3 Se 0.1720 0.0000 0.1125
```

The 12 most intense peaks (2θ = 10–90°), by angle:
two_theta  intensity  (hkl)
14.0  41  0 0 1
18.2  100  4 0 0
26.7  41  1 1 -1
27.1  99  6 0 -1
28.1  42  1 1 1
32.2  86  3 1 1
38.0  80  1 1 2
39.8  41  8 0 -2
47.0  40  0 2 0
47.9  30  5 1 2
48.1  61  9 1 0
49.0  60  5 1 -3

---

Starting from the GGA-PBE geometry in Alexandria, the powder diffractogram of PuZn6Ge2 was simulated for Cu Kα (weighted mean of Kα1 and Kα2).
Intensities are scaled so that the largest is 100.

Crystal structure
```
data_PuZn6Ge2
_space_group_name_H-M_alt 'P 4/m m m'
_space_group_IT_number 123
_space_group_name_Hall '-P 4 2'
_cell_length_a 4.0288
_cell_length_b 4.0288
_cell_length_c 9.5033
_cell_angle_alpha 90.00
_cell_angle_beta 90.00
_cell_angle_gamma 90.00
loop_
_atom_site_label
_atom_site_type_symbol
_atom_site_fract_x
_atom_site_fract_y
_atom_site_fract_z
Pu1 Pu 0.0000 0.0000 0.0000
Zn1 Zn 0.0000 0.0000 0.5000
Zn2 Zn 0.0000 0.5000 0.3061
Zn3 Zn 0.5000 0.5000 0.5000
Ge1 Ge 0.5000 0.5000 0.1334
```

The 12 most intense peaks (2θ = 10–90°), by angle:
two_theta  intensity  (hkl)
29.1  34  1 0 2
32.8  34  1 1 1
36.1  40  1 0 3
36.8  100  1 1 2
42.7  15  1 1 3
44.3  26  1 0 4
45.0  56  2 0 0
59.0  19  2 1 3
65.0  17  2 1 4
65.5  18  2 2 0
77.6  22  3 1 2
89.4  17  1 1 8

---

Starting from the GGA-PBE geometry in Alexandria, the powder diffractogram of NbAgP2 was simulated for Cu Kα (weighted mean of Kα1 and Kα2).
Intensities are scaled so that the largest is 100.

Crystal structure
```
data_NbAgP2
_space_group_name_H-M_alt 'I -4 2 d'
_space_group_IT_number 122
_space_group_name_Hall 'I -4 2bw'
_cell_length_a 5.7656
_cell_length_b 5.7656
_cell_length_c 11.0820
_cell_angle_alpha 90.00
_cell_angle_beta 90.00
_cell_angle_gamma 90.00
loop_
_atom_site_label
_atom_site_type_symbol
_atom_site_fract_x
_atom_site_fract_y
_atom_site_fract_z
Nb1 Nb 0.0000 0.0000 0.0000
Ag1 Ag 0.0000 0.0000 0.5000
P1 P 0.2311 0.2500 0.1250
```

The 12 most intense peaks (2θ = 10–90°), by angle:
two_theta  intensity  (hkl)
27.2  100  1 1 2
31.0  16  2 0 0
32.3  7  0 0 4
44.4  19  2 2 0
45.4  36  2 0 4
52.9  29  3 1 2
54.5  13  1 1 6
56.0  6  2 2 4
64.7  6  4 0 0
72.9  11  3 1 6
82.5  12  4 2 4
88.2  7  5 1 2

---

Starting from the GGA-PBE geometry in Alexandria, the powder diffractogram of CdReW2 was simulated for Cu Kα (weighted mean of Kα1 and Kα2).
Intensities are scaled so that the largest is 100.

Crystal structure
```
data_CdReW2
_space_group_name_H-M_alt 'P 4 m m'
_space_group_IT_number 99
_cell_length_a 3.2987
_cell_length_b 3.2987
_cell_length_c 6.3019
_cell_angle_alpha 90.00
_cell_angle_beta 90.00
_cell_angle_gamma 90.00
loop_
_space_group_symop_operation_xyz
'x,y,z'
'-y,x,z'
'-x,-y,z'
'y,-x,z'
'-x,y,z'
'y,x,z'
'x,-y,z'
'-y,-x,z'
loop_
_atom_site_label
_atom_site_type_symbol
_atom_site_fract_x
_atom_site_fract_y
_atom_site_fract_z
Cd1 Cd 0.0000 0.0000 0.0000
Re1 Re 0.5000 0.5000 0.2836
W1 W 0.0000 0.0000 0.4941
W2 W 0.5000 0.5000 0.7148
```

The 12 most intense peaks (2θ = 10–90°), by angle:
two_theta  intensity  (hkl)
14.1  16  0 0 1
38.6  59  1 1 0
39.6  100  1 0 2
41.3  5  1 1 1
51.6  10  1 0 3
55.7  21  2 0 0
58.6  6  0 0 4
70.5  37  2 1 2
72.4  12  1 1 4
79.4  6  2 1 3
82.8  7  2 2 0
85.2  8  2 0 4